Entry 1:
Structure and calculated powder XRD pattern of DyErAgPd (a cell relaxed with GGA-PBE; copper Kα).
Peak positions follow from Bragg's law for the DFT cell and can differ from measured ones.

Peak list (10 most intense, 2θ = 10–90°, low angle first)
| 2θ/deg | d [Å] | I_rel |
| --- | --- | --- |
| 35.60 | 2.522 | 100 |
| 35.81 | 2.507 | 50 |
| 50.91 | 1.794 | 9 |
| 51.55 | 1.773 | 17 |
| 63.81 | 1.459 | 17 |
| 64.22 | 1.450 | 35 |
| 75.38 | 1.261 | 11 |
| 85.75 | 1.133 | 7 |
| 86.75 | 1.123 | 8 |
| 86.87 | 1.121 | 8 |

Cell and atoms:
```
data_DyErAgPd
_chemical_formula_sum 'Dy1 Er1 Ag1 Pd1'
_cell_length_a 3.546
_cell_length_b 3.546
_cell_length_c 7.174
_cell_angle_alpha 90.00
_cell_angle_beta 90.00
_cell_angle_gamma 90.00
_symmetry_space_group_name_H-M 'P 1'
_symmetry_Int_Tables_number 1
loop_
_symmetry_equiv_pos_as_xyz
'x,y,z'
loop_
_atom_site_label
_atom_site_type_symbol
_atom_site_fract_x
_atom_site_fract_y
_atom_site_fract_z
_atom_site_occupancy
Dy1 Dy 0.000 0.000 0.000 1
Er1 Er 0.000 0.000 0.479 1
Ag1 Ag 0.500 0.500 0.735 1
Pd1 Pd 0.500 0.500 0.244 1
```

Entry 2:
Structure and calculated powder XRD pattern of Cs3SrCa2Cl9 (a cell relaxed with GGA-PBE; copper Kα).
Peak positions follow from Bragg's law for the DFT cell and can differ from measured ones.

Peak list (10 most intense, 2θ = 10–90°, low angle first)
| 2θ/deg | d [Å] | I_rel |
| --- | --- | --- |
| 22.66 | 3.925 | 100 |
| 27.84 | 3.205 | 59 |
| 32.26 | 2.775 | 78 |
| 39.78 | 2.266 | 46 |
| 46.26 | 1.962 | 53 |
| 52.11 | 1.755 | 22 |
| 54.86 | 1.674 | 23 |
| 57.54 | 1.602 | 13 |
| 62.61 | 1.484 | 19 |
| 76.80 | 1.241 | 22 |

Cell and atoms:
```
data_Cs3SrCa2Cl9
_chemical_formula_sum 'Cs3 Sr1 Ca2 Cl9'
_cell_length_a 7.845
_cell_length_b 7.845
_cell_length_c 9.625
_cell_angle_alpha 90.00
_cell_angle_beta 90.00
_cell_angle_gamma 120.00
_symmetry_space_group_name_H-M 'P 1'
_symmetry_Int_Tables_number 1
loop_
_symmetry_equiv_pos_as_xyz
'x,y,z'
loop_
_atom_site_label
_atom_site_type_symbol
_atom_site_fract_x
_atom_site_fract_y
_atom_site_fract_z
_atom_site_occupancy
Cs1 Cs 0.000 0.000 0.000 1
Cs2 Cs 0.333 0.667 0.669 1
Cs3 Cs 0.667 0.333 0.331 1
Sr1 Sr 0.000 0.000 0.500 1
Ca1 Ca 0.333 0.667 0.161 1
Ca2 Ca 0.667 0.333 0.839 1
Cl1 Cl 0.000 0.500 0.000 1
Cl2 Cl 0.171 0.342 0.326 1
Cl3 Cl 0.171 0.829 0.326 1
Cl4 Cl 0.342 0.171 0.674 1
Cl5 Cl 0.500 0.000 0.000 1
Cl6 Cl 0.500 0.500 0.000 1
Cl7 Cl 0.658 0.829 0.326 1
Cl8 Cl 0.829 0.171 0.674 1
Cl9 Cl 0.829 0.658 0.674 1
```

Entry 3:
Structure and calculated powder XRD pattern of ScV2H4 (a cell relaxed with GGA-PBE; copper Kα).
Peak positions follow from Bragg's law for the DFT cell and can differ from measured ones.

Peak list (10 most intense, 2θ = 10–90°, low angle first)
| 2θ/deg | d [Å] | I_rel |
| --- | --- | --- |
| 19.67 | 4.513 | 18 |
| 32.38 | 2.765 | 31 |
| 38.16 | 2.358 | 100 |
| 38.23 | 2.354 | 50 |
| 39.89 | 2.260 | 31 |
| 40.02 | 2.253 | 30 |
| 46.47 | 1.954 | 11 |
| 61.57 | 1.506 | 16 |
| 61.69 | 1.504 | 22 |
| 67.83 | 1.382 | 25 |

Cell and atoms:
```
data_ScV2H4
_chemical_formula_sum 'Sc2 V4 H8'
_cell_length_a 5.527
_cell_length_b 5.527
_cell_length_c 5.527
_cell_angle_alpha 120.14
_cell_angle_beta 119.83
_cell_angle_gamma 90.03
_symmetry_space_group_name_H-M 'P 1'
_symmetry_Int_Tables_number 1
loop_
_symmetry_equiv_pos_as_xyz
'x,y,z'
loop_
_atom_site_label
_atom_site_type_symbol
_atom_site_fract_x
_atom_site_fract_y
_atom_site_fract_z
_atom_site_occupancy
Sc1 Sc 0.376 0.126 0.250 1
Sc2 Sc 0.624 0.874 0.750 1
V1 V 0.000 0.000 0.500 1
V2 V 0.000 0.500 0.000 1
V3 V 0.000 0.500 0.500 1
V4 V 0.500 0.500 0.000 1
H1 H 0.191 0.730 0.461 1
H2 H 0.230 0.270 0.961 1
H3 H 0.231 0.270 0.540 1
H4 H 0.231 0.691 0.960 1
H5 H 0.769 0.309 0.040 1
H6 H 0.769 0.730 0.460 1
H7 H 0.770 0.730 0.039 1
H8 H 0.809 0.270 0.539 1
```

Entry 4:
Structure and calculated powder XRD pattern of CePm3Pt (a cell relaxed with GGA-PBE; copper Kα).
Peak positions follow from Bragg's law for the DFT cell and can differ from measured ones.

Peak list (10 most intense, 2θ = 10–90°, low angle first)
| 2θ/deg | d [Å] | I_rel |
| --- | --- | --- |
| 14.72 | 6.018 | 28 |
| 29.42 | 3.036 | 48 |
| 29.69 | 3.009 | 100 |
| 29.95 | 2.984 | 53 |
| 30.31 | 2.949 | 86 |
| 32.46 | 2.758 | 49 |
| 35.91 | 2.501 | 28 |
| 37.23 | 2.415 | 51 |
| 39.25 | 2.295 | 28 |
| 39.34 | 2.290 | 41 |

Cell and atoms:
```
data_CePm3Pt
_chemical_formula_sum 'Ce4 Pm12 Pt4'
_cell_length_a 6.878
_cell_length_b 6.785
_cell_length_c 13.027
_cell_angle_alpha 90.00
_cell_angle_beta 90.25
_cell_angle_gamma 90.00
_symmetry_space_group_name_H-M 'P 1'
_symmetry_Int_Tables_number 1
loop_
_symmetry_equiv_pos_as_xyz
'x,y,z'
loop_
_atom_site_label
_atom_site_type_symbol
_atom_site_fract_x
_atom_site_fract_y
_atom_site_fract_z
_atom_site_occupancy
Ce1 Ce 0.194 0.030 0.277 1
Ce2 Ce 0.194 0.970 0.777 1
Ce3 Ce 0.806 0.030 0.223 1
Ce4 Ce 0.806 0.970 0.723 1
Pm1 Pm 0.100 0.248 0.530 1
Pm2 Pm 0.100 0.752 0.030 1
Pm3 Pm 0.245 0.476 0.790 1
Pm4 Pm 0.245 0.524 0.290 1
Pm5 Pm 0.398 0.248 0.060 1
Pm6 Pm 0.398 0.752 0.560 1
Pm7 Pm 0.602 0.248 0.440 1
Pm8 Pm 0.602 0.752 0.940 1
Pm9 Pm 0.755 0.476 0.710 1
Pm10 Pm 0.755 0.524 0.210 1
Pm11 Pm 0.900 0.248 0.970 1
Pm12 Pm 0.900 0.752 0.470 1
Pt1 Pt 0.456 0.192 0.641 1
Pt2 Pt 0.456 0.808 0.141 1
Pt3 Pt 0.544 0.192 0.859 1
Pt4 Pt 0.544 0.808 0.359 1
```

Entry 5:
Structure and calculated powder XRD pattern of NbV3Cr (a cell relaxed with GGA-PBE; copper Kα).
Peak positions follow from Bragg's law for the DFT cell and can differ from measured ones.

Peak list (10 most intense, 2θ = 10–90°, low angle first)
| 2θ/deg | d [Å] | I_rel |
| --- | --- | --- |
| 41.10 | 2.196 | 52 |
| 41.79 | 2.161 | 100 |
| 42.03 | 2.150 | 97 |
| 43.28 | 2.090 | 46 |
| 60.31 | 1.535 | 15 |
| 61.21 | 1.514 | 30 |
| 75.23 | 1.263 | 23 |
| 75.69 | 1.257 | 14 |
| 77.09 | 1.237 | 14 |
| 78.37 | 1.220 | 14 |

Cell and atoms:
```
data_NbV3Cr
_chemical_formula_sum 'Nb2 V6 Cr2'
_cell_length_a 6.674
_cell_length_b 6.674
_cell_length_c 5.378
_cell_angle_alpha 98.18
_cell_angle_beta 98.18
_cell_angle_gamma 36.51
_symmetry_space_group_name_H-M 'P 1'
_symmetry_Int_Tables_number 1
loop_
_symmetry_equiv_pos_as_xyz
'x,y,z'
loop_
_atom_site_label
_atom_site_type_symbol
_atom_site_fract_x
_atom_site_fract_y
_atom_site_fract_z
_atom_site_occupancy
Nb1 Nb 0.199 0.199 0.154 1
Nb2 Nb 0.801 0.801 0.846 1
V1 V 0.000 0.000 0.257 1
V2 V 0.000 0.000 0.743 1
V3 V 0.194 0.194 0.640 1
V4 V 0.407 0.407 0.054 1
V5 V 0.593 0.593 0.946 1
V6 V 0.806 0.806 0.360 1
Cr1 Cr 0.407 0.407 0.545 1
Cr2 Cr 0.593 0.593 0.455 1
```

Entry 6:
Structure and calculated powder XRD pattern of Pr8Nd6Dy (a cell relaxed with GGA-PBE; copper Kα).
Peak positions follow from Bragg's law for the DFT cell and can differ from measured ones.

Peak list (10 most intense, 2θ = 10–90°, low angle first)
| 2θ/deg | d [Å] | I_rel |
| --- | --- | --- |
| 25.10 | 3.547 | 29 |
| 28.34 | 3.149 | 28 |
| 28.47 | 3.135 | 21 |
| 31.33 | 2.855 | 100 |
| 32.24 | 2.777 | 28 |
| 32.35 | 2.767 | 64 |
| 47.65 | 1.909 | 12 |
| 49.56 | 1.839 | 22 |
| 50.18 | 1.818 | 13 |
| 63.70 | 1.461 | 12 |

Cell and atoms:
```
data_Pr8Nd6Dy
_chemical_formula_sum 'Pr8 Nd6 Dy1'
_cell_length_a 9.620
_cell_length_b 9.620
_cell_length_c 6.767
_cell_angle_alpha 90.00
_cell_angle_beta 90.00
_cell_angle_gamma 120.00
_symmetry_space_group_name_H-M 'P 1'
_symmetry_Int_Tables_number 1
loop_
_symmetry_equiv_pos_as_xyz
'x,y,z'
loop_
_atom_site_label
_atom_site_type_symbol
_atom_site_fract_x
_atom_site_fract_y
_atom_site_fract_z
_atom_site_occupancy
Pr1 Pr 0.030 0.748 0.335 1
Pr2 Pr 0.252 0.283 0.335 1
Pr3 Pr 0.283 0.030 0.665 1
Pr4 Pr 0.333 0.667 0.388 1
Pr5 Pr 0.667 0.333 0.612 1
Pr6 Pr 0.717 0.970 0.335 1
Pr7 Pr 0.748 0.717 0.665 1
Pr8 Pr 0.970 0.252 0.665 1
Nd1 Nd 0.086 0.654 0.842 1
Nd2 Nd 0.346 0.432 0.842 1
Nd3 Nd 0.432 0.086 0.158 1
Nd4 Nd 0.568 0.914 0.842 1
Nd5 Nd 0.654 0.568 0.158 1
Nd6 Nd 0.914 0.346 0.158 1
Dy1 Dy 0.000 0.000 0.000 1
```